Structure and calculated powder diffraction line list of PaFeSb2O8 (a GGA+U-relaxed structure; CuKα).
Intensities are scaled so that the largest is 100.

Crystal structure
abc: 6.1474 6.1474 5.9643
angles: 90.00 90.00 120.00
Fractional coordinates of all 12 atoms:
Pa  0.0000  0.0000  0.0000
Fe  0.0000  0.0000  0.5000
Sb  0.3333  0.6667  0.3427
Sb  0.6667  0.3333  0.6573
O  0.1523  0.3047  0.2467
O  0.1523  0.8477  0.2467
O  0.3047  0.1523  0.7533
O  0.3333  0.6667  0.6530
O  0.6667  0.3333  0.3470
O  0.6953  0.8477  0.2467
O  0.8477  0.1523  0.7533
O  0.8477  0.6953  0.7533

Most intense lines, 2θ from 10° to 90°, most intense first:
two_theta, I (rel.)
22.38, 100.0
29.05, 82.8
55.04, 47.3
34.47, 46.6
45.68, 35.3
16.65, 33.6
47.70, 28.8
71.25, 20.8
36.98, 19.7
51.50, 16.5